This entry pairs a crystal structure of BaAl3Ga6Co2 with its theoretical powder diffractogram. Radiation: Cu Kα X-rays. Structure: a structure optimized by DFT (PBE).
Intensities are scaled so that the largest is 100.

Atomic structure:
```
data_BaAl3Ga6Co2
_cell_length_a 7.9066
_cell_length_b 7.9066
_cell_length_c 3.9456
_cell_angle_alpha 90.00
_cell_angle_beta 90.00
_cell_angle_gamma 120.00
_space_group_name_H-M_alt 'P 6/m m m'
_space_group_IT_number 191
_space_group_name_Hall '-P 6 2'
loop_
_atom_site_label
_atom_site_fract_x
_atom_site_fract_y
_atom_site_fract_z
Ba1 0.0000 0.0000 0.0000
Al1 0.0000 0.5000 0.0000
Ga1 0.2122 0.4243 0.5000
Co1 0.3333 0.6667 0.0000
```

Largest 10 diffraction maxima, sorted by position, 2θ = 5–70°:
2θ = 22.5°, d = 3.953 Å, rel. 29
2θ = 26.1°, d = 3.419 Å, rel. 12
2θ = 32.0°, d = 2.793 Å, rel. 48
2θ = 34.7°, d = 2.587 Å, rel. 100
2θ = 41.7°, d = 2.164 Å, rel. 28
2θ = 45.9°, d = 1.975 Å, rel. 90
2θ = 51.8°, d = 1.766 Å, rel. 14
2θ = 53.5°, d = 1.711 Å, rel. 15
2θ = 58.9°, d = 1.569 Å, rel. 21
2θ = 67.0°, d = 1.397 Å, rel. 21